No. 1
# Li7Co5O12
Theoretical powder diffraction line list, Cu Kα, 1.54184 Å. Input: a DFT-relaxed cell (GGA+U, the Materials Project).
Peak positions follow from Bragg's law for the DFT cell and can differ from measured ones.

Structure:
```
Li7Co5O12
1.0
4.978 0.000 0.000
-2.478 4.342 0.000
-0.804 -1.485 9.660
Li Co O
7 5 12
direct
0.000 0.000 0.000
0.081 0.414 0.244
0.247 0.249 0.754
0.411 0.080 0.245
0.589 0.920 0.755
0.753 0.751 0.246
0.919 0.586 0.756
0.168 0.831 0.500
0.339 0.670 0.000
0.500 0.500 0.500
0.661 0.330 0.000
0.832 0.169 0.500
0.035 0.673 0.108
0.131 0.131 0.381
0.207 0.547 0.619
0.331 0.970 0.891
0.403 0.397 0.109
0.454 0.792 0.381
0.546 0.208 0.619
0.597 0.603 0.891
0.669 0.030 0.109
0.793 0.453 0.381
0.869 0.869 0.619
0.965 0.327 0.892
```

The 8 most intense peaks (2θ = 10–80°), in order of falling intensity:
| 2θ (°) | d_spacing | intensity |
| --- | --- | --- |
| 18.37 | 4.830 | 100.0 |
| 43.95 | 2.060 | 55.5 |
| 44.21 | 2.048 | 27.1 |
| 36.43 | 2.466 | 26.6 |
| 36.65 | 2.452 | 12.9 |
| 48.15 | 1.890 | 8.9 |
| 63.31 | 1.469 | 7.6 |
| 63.42 | 1.467 | 7.5 |



No. 2
# La9Mn10O30
Theoretical powder diffraction line list, Cu Kα, 1.54184 Å. Input: a DFT-relaxed cell (GGA+U, the Materials Project).
Peak positions follow from Bragg's law for the DFT cell and can differ from measured ones.

Structure:
```
La9Mn10O30
1.0
4.751 -2.791 0.000
4.751 2.791 0.000
-3.229 0.000 22.767
La Mn O
9 10 30
direct
0.000 0.000 0.000
0.097 0.109 0.307
0.194 0.192 0.589
0.298 0.300 0.898
0.402 0.404 0.204
0.596 0.598 0.796
0.700 0.702 0.102
0.808 0.806 0.411
0.891 0.903 0.693
0.051 0.050 0.151
0.149 0.154 0.452
0.246 0.253 0.748
0.349 0.351 0.050
0.454 0.449 0.354
0.551 0.546 0.646
0.649 0.651 0.950
0.747 0.754 0.252
0.846 0.851 0.548
0.950 0.949 0.849
0.021 0.469 0.509
0.041 0.167 0.801
0.048 0.952 0.500
0.075 0.635 0.787
0.133 0.578 0.287
0.166 0.721 0.612
0.225 0.662 0.114
0.230 0.347 0.394
0.263 0.134 0.099
0.279 0.834 0.388
0.338 0.775 0.886
0.365 0.925 0.213
0.422 0.867 0.713
0.434 0.566 0.000
0.462 0.351 0.703
0.474 0.039 0.986
0.531 0.979 0.491
0.563 0.125 0.813
0.619 0.068 0.312
0.649 0.538 0.297
0.653 0.770 0.606
0.696 0.209 0.596
0.739 0.174 0.087
0.791 0.304 0.404
0.826 0.261 0.913
0.833 0.959 0.199
0.866 0.737 0.901
0.875 0.437 0.187
0.932 0.381 0.688
0.961 0.526 0.014
```

The 8 most intense peaks (2θ = 10–80°), in order of falling intensity:
| 2θ (°) | d_spacing | intensity |
| --- | --- | --- |
| 32.10 | 2.788 | 100.0 |
| 32.50 | 2.755 | 70.6 |
| 46.18 | 1.966 | 42.9 |
| 32.33 | 2.769 | 33.7 |
| 57.24 | 1.609 | 33.5 |
| 46.51 | 1.953 | 21.4 |
| 39.70 | 2.271 | 17.0 |
| 22.62 | 3.932 | 15.5 |



No. 3
# Y4Si2Sb2W13O28
Theoretical powder diffraction line list, Cu Kα, 1.54184 Å. Input: a DFT-relaxed cell (GGA+U, the Materials Project).
Peak positions follow from Bragg's law for the DFT cell and can differ from measured ones.

Structure:
```
Y4Si2Sb2W13O28
1.0
3.118 -12.595 0.000
3.118 12.595 0.000
-3.117 0.000 9.106
Y Si Sb W O
4 2 2 13 28
direct
0.130 0.707 0.662
0.293 0.870 0.338
0.707 0.130 0.662
0.870 0.293 0.338
0.445 0.445 0.291
0.555 0.555 0.709
0.119 0.881 0.000
0.881 0.119 0.000
0.000 0.000 0.000
0.033 0.872 0.689
0.128 0.967 0.311
0.232 0.500 0.633
0.283 0.717 0.000
0.422 0.578 0.000
0.500 0.232 0.633
0.500 0.768 0.367
0.578 0.422 0.000
0.717 0.283 0.000
0.768 0.500 0.367
0.872 0.033 0.689
0.967 0.128 0.311
0.014 0.442 0.597
0.085 0.590 0.135
0.159 0.260 0.852
0.159 0.436 0.391
0.189 0.189 0.315
0.260 0.159 0.852
0.329 0.619 0.869
0.376 0.483 0.640
0.379 0.379 0.104
0.381 0.671 0.131
0.410 0.915 0.865
0.436 0.159 0.391
0.442 0.014 0.597
0.483 0.376 0.640
0.517 0.624 0.360
0.558 0.986 0.403
0.564 0.841 0.609
0.590 0.085 0.135
0.619 0.329 0.869
0.621 0.621 0.896
0.624 0.517 0.360
0.671 0.381 0.131
0.740 0.841 0.148
0.811 0.811 0.685
0.841 0.564 0.609
0.841 0.740 0.148
0.915 0.410 0.865
0.986 0.558 0.403
```

The 8 most intense peaks (2θ = 10–80°), in order of falling intensity:
| 2θ (°) | d_spacing | intensity |
| --- | --- | --- |
| 32.28 | 2.773 | 100.0 |
| 29.43 | 3.035 | 47.5 |
| 28.62 | 3.119 | 31.3 |
| 30.31 | 2.949 | 28.7 |
| 54.03 | 1.697 | 21.4 |
| 41.52 | 2.175 | 20.2 |
| 29.06 | 3.072 | 20.0 |
| 50.98 | 1.791 | 17.4 |



No. 4
# La3MoO7
Theoretical powder diffraction line list, Cu Kα, 1.54184 Å. Input: a DFT-relaxed cell (GGA+U, the Materials Project).
Peak positions follow from Bragg's law for the DFT cell and can differ from measured ones.

Structure:
```
La3MoO7
1.0
7.769 0.000 0.000
0.000 11.208 0.000
0.000 0.000 7.593
La Mo O
12 4 28
direct
0.002 0.250 0.244
0.250 0.024 0.552
0.250 0.476 0.552
0.250 0.524 0.052
0.250 0.976 0.052
0.498 0.750 0.744
0.502 0.250 0.256
0.750 0.024 0.948
0.750 0.476 0.948
0.750 0.524 0.448
0.750 0.976 0.448
0.998 0.750 0.756
0.003 0.750 0.249
0.497 0.250 0.749
0.503 0.750 0.251
0.997 0.250 0.751
0.032 0.126 0.942
0.032 0.374 0.942
0.037 0.623 0.430
0.037 0.877 0.430
0.247 0.250 0.689
0.249 0.620 0.776
0.249 0.880 0.776
0.251 0.120 0.276
0.251 0.380 0.276
0.253 0.750 0.189
0.463 0.123 0.930
0.463 0.377 0.930
0.468 0.626 0.442
0.468 0.874 0.442
0.532 0.126 0.558
0.532 0.374 0.558
0.537 0.623 0.070
0.537 0.877 0.070
0.747 0.250 0.811
0.749 0.620 0.724
0.749 0.880 0.724
0.751 0.120 0.224
0.751 0.380 0.224
0.753 0.750 0.311
0.963 0.123 0.570
0.963 0.377 0.570
0.968 0.626 0.058
0.968 0.874 0.058
```

The 8 most intense peaks (2θ = 10–80°), in order of falling intensity:
| 2θ (°) | d_spacing | intensity |
| --- | --- | --- |
| 27.95 | 3.193 | 100.0 |
| 28.40 | 3.143 | 85.3 |
| 46.58 | 1.950 | 46.5 |
| 32.99 | 2.715 | 37.4 |
| 55.62 | 1.653 | 28.5 |
| 31.94 | 2.802 | 21.4 |
| 46.77 | 1.942 | 18.4 |
| 30.68 | 2.914 | 14.2 |



No. 5
# Li3Co2O5
Theoretical powder diffraction line list, Cu Kα, 1.54184 Å. Input: a DFT-relaxed cell (GGA+U, the Materials Project).
Peak positions follow from Bragg's law for the DFT cell and can differ from measured ones.

Structure:
```
Li3Co2O5
1.0
4.951 0.000 0.000
0.888 4.947 0.000
2.313 1.985 6.921
Li Co O
6 4 10
direct
0.000 0.000 0.000
0.102 0.507 0.295
0.289 0.499 0.903
0.500 0.500 0.500
0.711 0.501 0.097
0.898 0.493 0.705
0.195 0.998 0.609
0.401 0.002 0.194
0.599 0.998 0.806
0.805 0.002 0.391
0.073 0.236 0.160
0.153 0.786 0.433
0.272 0.225 0.742
0.373 0.783 0.045
0.464 0.219 0.342
0.536 0.781 0.658
0.627 0.217 0.955
0.728 0.775 0.258
0.847 0.214 0.567
0.927 0.764 0.840
```

The 8 most intense peaks (2θ = 10–80°), in order of falling intensity:
| 2θ (°) | d_spacing | intensity |
| --- | --- | --- |
| 18.66 | 4.755 | 100.0 |
| 43.55 | 2.078 | 29.2 |
| 44.77 | 2.024 | 26.1 |
| 45.00 | 2.015 | 25.9 |
| 37.01 | 2.429 | 23.1 |
| 36.13 | 2.486 | 14.9 |
| 64.79 | 1.439 | 14.2 |
| 12.79 | 6.921 | 8.0 |



No. 6
# Ba2MgAl2Fe8O14
Theoretical powder diffraction line list, Cu Kα, 1.54184 Å. Input: a DFT-relaxed cell (GGA+U, the Materials Project).
Peak positions follow from Bragg's law for the DFT cell and can differ from measured ones.

Structure:
```
Ba2MgAl2Fe8O14
1.0
6.096 0.000 0.000
-3.035 5.404 0.000
-0.607 -0.911 10.240
Ba Mg Al Fe O
2 1 2 8 14
direct
0.000 0.000 0.000
0.259 0.602 0.587
0.845 0.574 0.184
0.337 0.584 0.159
0.959 0.936 0.669
0.025 0.508 0.886
0.305 0.085 0.369
0.468 0.485 0.872
0.498 0.983 0.842
0.541 0.092 0.129
0.639 0.254 0.607
0.656 0.628 0.403
0.895 0.156 0.358
0.123 0.269 0.776
0.129 0.817 0.791
0.218 0.824 0.224
0.251 0.059 0.553
0.258 0.406 0.319
0.432 0.784 0.008
0.474 0.390 0.071
0.661 0.321 0.803
0.676 0.310 0.306
0.679 0.814 0.776
0.696 0.806 0.239
0.774 0.031 0.533
0.813 0.615 0.566
0.987 0.398 0.073
```

The 8 most intense peaks (2θ = 10–80°), in order of falling intensity:
| 2θ (°) | d_spacing | intensity |
| --- | --- | --- |
| 33.33 | 2.688 | 100.0 |
| 35.03 | 2.562 | 85.7 |
| 35.86 | 2.504 | 81.9 |
| 35.20 | 2.549 | 53.3 |
| 29.74 | 3.004 | 52.5 |
| 37.14 | 2.421 | 50.3 |
| 31.06 | 2.879 | 50.1 |
| 37.55 | 2.395 | 45.9 |



No. 7
# KCrS2O8
Theoretical powder diffraction line list, Cu Kα, 1.54184 Å. Input: a DFT-relaxed cell (GGA+U, the Materials Project).
Peak positions follow from Bragg's law for the DFT cell and can differ from measured ones.

Structure:
```
KCrS2O8
1.0
5.075 0.000 0.000
-2.538 4.395 0.000
0.000 0.000 7.988
K Cr S O
1 1 2 8
direct
0.000 0.000 0.000
0.000 0.000 0.500
0.333 0.667 0.281
0.667 0.333 0.719
0.130 0.780 0.342
0.220 0.350 0.342
0.333 0.667 0.098
0.350 0.220 0.658
0.650 0.870 0.342
0.667 0.333 0.902
0.780 0.130 0.658
0.870 0.650 0.658
```

The 8 most intense peaks (2θ = 10–80°), in order of falling intensity:
| 2θ (°) | d_spacing | intensity |
| --- | --- | --- |
| 23.10 | 3.851 | 100.0 |
| 30.24 | 2.956 | 61.1 |
| 35.37 | 2.538 | 37.0 |
| 47.21 | 1.925 | 26.5 |
| 11.08 | 7.988 | 25.1 |
| 20.20 | 4.395 | 17.2 |
| 60.35 | 1.534 | 13.2 |
| 50.18 | 1.818 | 10.9 |



No. 8
# RbW3O9
Theoretical powder diffraction line list, Cu Kα, 1.54184 Å. Input: a DFT-relaxed cell (GGA+U, the Materials Project).
Peak positions follow from Bragg's law for the DFT cell and can differ from measured ones.

Structure:
```
RbW3O9
1.0
7.492 0.000 0.000
-3.746 6.488 0.000
0.000 0.000 7.697
Rb W O
2 6 18
direct
0.000 0.000 0.000
0.000 0.000 0.495
0.000 0.491 0.242
0.000 0.518 0.742
0.482 0.482 0.742
0.491 0.000 0.242
0.509 0.509 0.242
0.518 0.000 0.742
0.001 0.505 0.492
0.207 0.422 0.743
0.211 0.788 0.242
0.212 0.423 0.242
0.215 0.793 0.743
0.422 0.207 0.742
0.423 0.212 0.243
0.495 0.496 0.492
0.496 0.495 0.992
0.504 0.999 0.492
0.505 0.001 0.992
0.577 0.789 0.242
0.578 0.785 0.743
0.785 0.578 0.742
0.788 0.211 0.243
0.789 0.577 0.243
0.793 0.215 0.742
0.999 0.504 0.992
```

The 8 most intense peaks (2θ = 10–80°), in order of falling intensity:
| 2θ (°) | d_spacing | intensity |
| --- | --- | --- |
| 27.49 | 3.244 | 100.0 |
| 26.94 | 3.310 | 36.2 |
| 23.11 | 3.848 | 32.9 |
| 36.22 | 2.480 | 31.6 |
| 55.53 | 1.655 | 28.4 |
| 48.61 | 1.873 | 24.4 |
| 33.38 | 2.684 | 20.9 |
| 13.65 | 6.488 | 19.9 |



Please write out number 4 again, unchanged.
# La3MoO7
Theoretical powder diffraction line list, Cu Kα, 1.54184 Å. Input: a DFT-relaxed cell (GGA+U, the Materials Project).
Peak positions follow from Bragg's law for the DFT cell and can differ from measured ones.

Structure:
```
La3MoO7
1.0
7.769 0.000 0.000
0.000 11.208 0.000
0.000 0.000 7.593
La Mo O
12 4 28
direct
0.002 0.250 0.244
0.250 0.024 0.552
0.250 0.476 0.552
0.250 0.524 0.052
0.250 0.976 0.052
0.498 0.750 0.744
0.502 0.250 0.256
0.750 0.024 0.948
0.750 0.476 0.948
0.750 0.524 0.448
0.750 0.976 0.448
0.998 0.750 0.756
0.003 0.750 0.249
0.497 0.250 0.749
0.503 0.750 0.251
0.997 0.250 0.751
0.032 0.126 0.942
0.032 0.374 0.942
0.037 0.623 0.430
0.037 0.877 0.430
0.247 0.250 0.689
0.249 0.620 0.776
0.249 0.880 0.776
0.251 0.120 0.276
0.251 0.380 0.276
0.253 0.750 0.189
0.463 0.123 0.930
0.463 0.377 0.930
0.468 0.626 0.442
0.468 0.874 0.442
0.532 0.126 0.558
0.532 0.374 0.558
0.537 0.623 0.070
0.537 0.877 0.070
0.747 0.250 0.811
0.749 0.620 0.724
0.749 0.880 0.724
0.751 0.120 0.224
0.751 0.380 0.224
0.753 0.750 0.311
0.963 0.123 0.570
0.963 0.377 0.570
0.968 0.626 0.058
0.968 0.874 0.058
```

The 8 most intense peaks (2θ = 10–80°), in order of falling intensity:
| 2θ (°) | d_spacing | intensity |
| --- | --- | --- |
| 27.95 | 3.193 | 100.0 |
| 28.40 | 3.143 | 85.3 |
| 46.58 | 1.950 | 46.5 |
| 32.99 | 2.715 | 37.4 |
| 55.62 | 1.653 | 28.5 |
| 31.94 | 2.802 | 21.4 |
| 46.77 | 1.942 | 18.4 |
| 30.68 | 2.914 | 14.2 |



> What is the formula in the eighth record?

RbW3O9